Simulated powder X-ray diffraction pattern of KSrPrMnO6 for Cu Kα (weighted mean of Kα1 and Kα2), from a PBE+U-relaxed structure.
Neutral-atom scattering factors, no anomalous dispersion.

Principal peaks in the range 2θ = 10–90°, by angle:
| h k l | Position (°2θ) | d_spacing | Rel. int. |
| --- | --- | --- | --- |
| 1 1 1 | 18.14 | 4.891 | 16 |
| 2 0 0 | 20.97 | 4.236 | 16 |
| 2 2 0 | 29.83 | 2.995 | 100 |
| 3 1 1 | 35.13 | 2.554 | 15 |
| 4 0 0 | 42.69 | 2.118 | 36 |
| 3 3 1 | 46.74 | 1.943 | 10 |
| 4 2 0 | 48.03 | 1.894 | 6 |
| 4 2 2 | 52.95 | 1.729 | 38 |
| 4 4 0 | 61.97 | 1.498 | 21 |
| 6 2 0 | 70.28 | 1.339 | 18 |
| 4 4 4 | 78.17 | 1.223 | 7 |
| 6 4 2 | 85.84 | 1.132 | 20 |

Atomic structure:
```
data_KSrPrMnO6
_chemical_formula_sum 'K4 Sr4 Pr4 Mn4 O24'
_cell_length_a 8.4715
_cell_length_b 8.4715
_cell_length_c 8.4715
_cell_angle_alpha 90.00
_cell_angle_beta 90.00
_cell_angle_gamma 90.00
_space_group_name_H-M_alt 'F -4 3 m'
_space_group_IT_number 216
_space_group_name_Hall 'F -4 2 3'
loop_
_atom_site_label
_atom_site_fract_x
_atom_site_fract_y
_atom_site_fract_z
_atom_site_occupancy
K1 0.0000 0.0000 0.0000 1
Sr1 0.0000 0.0000 0.5000 1
Pr1 0.2500 0.2500 0.2500 1
Mn1 0.2500 0.2500 0.7500 1
O1 0.0254 0.2500 0.7500 1
```